Entry 1:
Diffraction record for Pr4Ge3S12. The powder XRD pattern is theoretical, not measured: it uses a cell relaxed with PBE and Cu Kα (λ = 1.5418 Å).
Lines closer than 0.1° are merged.

Crystal structure
```
Pr4Ge3S12
1.0
9.794 5.654 2.690
-9.794 5.654 2.690
0.000 -11.309 2.690
Pr Ge S
8 6 24
direct
0.000 0.000 0.000 Pr
0.218 0.441 0.979 Pr
0.441 0.979 0.218 Pr
0.479 0.941 0.718 Pr
0.500 0.500 0.500 Pr
0.718 0.479 0.941 Pr
0.941 0.718 0.479 Pr
0.979 0.218 0.441 Pr
0.148 0.974 0.359 Ge
0.359 0.148 0.974 Ge
0.474 0.648 0.859 Ge
0.648 0.859 0.474 Ge
0.859 0.474 0.648 Ge
0.974 0.359 0.148 Ge
0.090 0.634 0.356 S
0.091 0.802 0.118 S
0.118 0.091 0.802 S
0.134 0.590 0.856 S
0.187 0.190 0.374 S
0.190 0.374 0.187 S
0.284 0.890 0.816 S
0.302 0.591 0.618 S
0.316 0.390 0.784 S
0.356 0.090 0.634 S
0.374 0.187 0.190 S
0.390 0.784 0.316 S
0.590 0.856 0.134 S
0.591 0.618 0.302 S
0.618 0.302 0.591 S
0.634 0.356 0.090 S
0.687 0.874 0.690 S
0.690 0.687 0.874 S
0.784 0.316 0.390 S
0.802 0.118 0.091 S
0.816 0.284 0.890 S
0.856 0.134 0.590 S
0.874 0.690 0.687 S
0.890 0.816 0.284 S
```

Top 10 peaks for 15 to 90 degrees two-theta, by angle:
2θ/deg	Rel. int.
17.7	251
24.0	1000
25.4	216
26.1	435
32.0	417
34.6	485
35.8	212
36.5	234
36.7	285
47.6	219


Entry 2:
Diffraction record for Pr6Ge3TeS2. The powder XRD pattern is theoretical, not measured: it uses a cell relaxed with PBE and Cu Kα (λ = 1.5418 Å).
Lines closer than 0.1° are merged.

Crystal structure
```
Pr6Ge3TeS2
1.0
9.398 -2.154 0.000
9.398 2.154 0.000
-2.033 0.000 8.419
Pr Ge Te S
6 3 1 2
direct
0.002 0.002 0.267 Pr
0.327 0.327 0.913 Pr
0.333 0.333 0.416 Pr
0.667 0.667 0.584 Pr
0.673 0.673 0.087 Pr
0.998 0.998 0.733 Pr
0.164 0.164 0.831 Ge
0.500 0.500 0.500 Ge
0.836 0.836 0.169 Ge
0.500 0.500 0.000 Te
0.169 0.169 0.336 S
0.831 0.831 0.664 S
```

Top 10 peaks for 15 to 90 degrees two-theta, by angle:
2θ/deg	Rel. int.
25.3	164
29.3	1000
41.7	124
41.8	249
42.0	369
51.7	67
52.0	194
60.6	81
68.9	163
76.6	121


Entry 3:
Diffraction record for Pr3GeSb. The powder XRD pattern is theoretical, not measured: it uses a cell relaxed with PBE and Cu Kα (λ = 1.5418 Å).
Lines closer than 0.1° are merged.

Crystal structure
```
Pr3GeSb
1.0
5.650 0.000 0.000
0.000 6.390 0.000
-0.006 0.000 8.995
Pr Ge Sb
6 2 2
direct
0.000 0.000 0.000 Pr
0.000 0.250 0.360 Pr
0.000 0.500 0.000 Pr
0.000 0.750 0.640 Pr
0.500 0.250 0.761 Pr
0.500 0.750 0.239 Pr
0.000 0.250 0.689 Ge
0.000 0.750 0.311 Ge
0.500 0.250 0.149 Sb
0.500 0.750 0.851 Sb
```

Top 10 peaks for 15 to 90 degrees two-theta, by angle:
2θ/deg	Rel. int.
25.3	507
27.9	403
29.0	432
31.7	979
33.0	351
33.7	1000
33.8	965
34.4	643
47.5	519
57.7	490


Entry 4:
Diffraction record for PrScGe2. The powder XRD pattern is theoretical, not measured: it uses a cell relaxed with PBE and Cu Kα (λ = 1.5418 Å).
Lines closer than 0.1° are merged.

Crystal structure
```
PrScGe2
1.0
8.266 0.000 0.000
0.000 3.993 0.000
0.000 0.000 11.171
Pr Sc Ge
4 4 8
direct
0.132 0.250 0.136 Pr
0.368 0.750 0.636 Pr
0.632 0.250 0.364 Pr
0.868 0.750 0.864 Pr
0.011 0.750 0.392 Sc
0.489 0.250 0.892 Sc
0.511 0.750 0.108 Sc
0.989 0.250 0.608 Sc
0.161 0.250 0.811 Ge
0.239 0.250 0.445 Ge
0.261 0.750 0.945 Ge
0.339 0.750 0.311 Ge
0.661 0.250 0.689 Ge
0.739 0.250 0.055 Ge
0.761 0.750 0.555 Ge
0.839 0.750 0.189 Ge
```

Top 10 peaks for 15 to 90 degrees two-theta, by angle:
2θ/deg	Rel. int.
26.2	297
29.5	513
31.1	874
32.4	242
32.9	289
34.7	1000
39.6	304
40.6	346
40.7	334
45.4	381


Entry 5:
Diffraction record for Pr2GeSe. The powder XRD pattern is theoretical, not measured: it uses a cell relaxed with PBE and Cu Kα (λ = 1.5418 Å).
Lines closer than 0.1° are merged.

Crystal structure
```
Pr2GeSe
1.0
4.304 0.000 0.000
0.000 4.304 0.000
0.000 0.000 6.074
Pr Ge Se
2 1 1
direct
0.000 0.000 0.000 Pr
0.500 0.500 0.500 Pr
0.000 0.000 0.500 Ge
0.500 0.500 0.000 Se
```

Top 10 peaks for 15 to 90 degrees two-theta, by angle:
2θ/deg	Rel. int.
25.4	163
29.4	1000
42.0	752
49.7	81
52.1	267
60.9	83
61.0	41
69.0	227
69.1	113
76.8	252


Entry 6:
Diffraction record for Pr8GeSe6. The powder XRD pattern is theoretical, not measured: it uses a cell relaxed with PBE and Cu Kα (λ = 1.5418 Å).
Lines closer than 0.1° are merged.

Crystal structure
```
Pr8GeSe6
1.0
10.826 0.000 0.000
-5.413 9.376 0.000
0.000 0.000 4.298
Pr Ge Se
8 1 6
direct
0.033 0.315 0.256 Pr
0.282 0.967 0.256 Pr
0.315 0.282 0.744 Pr
0.333 0.667 0.748 Pr
0.667 0.333 0.252 Pr
0.685 0.718 0.256 Pr
0.718 0.033 0.744 Pr
0.967 0.685 0.744 Pr
0.000 0.000 0.500 Ge
0.129 0.648 0.249 Se
0.352 0.482 0.249 Se
0.482 0.129 0.751 Se
0.518 0.871 0.249 Se
0.648 0.518 0.751 Se
0.871 0.352 0.751 Se
```

Top 10 peaks for 15 to 90 degrees two-theta, by angle:
2θ/deg	Rel. int.
26.5	554
28.2	501
28.6	767
32.8	1000
34.5	409
39.3	628
42.0	322
47.3	375
51.6	298
74.2	266


Entry 7:
Diffraction record for Pr6TlGe2Se3. The powder XRD pattern is theoretical, not measured: it uses a cell relaxed with PBE and Cu Kα (λ = 1.5418 Å).
Lines closer than 0.1° are merged.

Crystal structure
```
Pr6TlGe2Se3
1.0
9.545 -2.163 0.000
9.545 2.163 0.000
-2.313 0.000 8.475
Pr Tl Ge Se
6 1 2 3
direct
0.001 0.001 0.266 Pr
0.328 0.328 0.909 Pr
0.330 0.330 0.425 Pr
0.670 0.670 0.575 Pr
0.672 0.672 0.091 Pr
0.999 0.999 0.734 Pr
0.500 0.500 0.000 Tl
0.165 0.165 0.329 Ge
0.835 0.835 0.671 Ge
0.167 0.167 0.830 Se
0.500 0.500 0.500 Se
0.833 0.833 0.170 Se
```

Top 10 peaks for 15 to 90 degrees two-theta, by angle:
2θ/deg	Rel. int.
29.0	1000
29.1	495
41.0	387
41.1	187
41.8	193
42.0	360
50.3	104
51.7	201
60.0	129
67.6	167


Entry 8:
Diffraction record for PrSiGe. The powder XRD pattern is theoretical, not measured: it uses a cell relaxed with PBE and Cu Kα (λ = 1.5418 Å).
Lines closer than 0.1° are merged.

Crystal structure
```
PrSiGe
1.0
-2.060 3.912 4.183
2.060 -3.912 4.183
2.060 3.912 -4.183
Pr Si Ge
2 2 2
direct
0.248 0.248 0.000 Pr
0.752 0.752 0.000 Pr
0.152 0.500 0.652 Si
0.848 0.500 0.348 Si
0.326 0.000 0.326 Ge
0.674 0.000 0.674 Ge
```

Top 10 peaks for 15 to 90 degrees two-theta, by angle:
2θ/deg	Rel. int.
22.7	130
24.4	225
31.3	565
32.6	1000
41.0	424
43.3	184
44.0	175
51.6	130
55.0	227
61.1	257